Record 1
This entry pairs a crystal structure of LiVS3O12 with its simulated PXRD pattern. Radiation: a wavelength of 1.5418 Å. Structure: a structure optimized by DFT (GGA+U).
No peak broadening, texture or thermal motion is included.

The 10 most intense peaks (2θ from 5° to 70°), most intense first:
two_theta, d/Å, I (rel.)
13.1, 6.735, 100
22.7, 3.917, 58
28.3, 3.151, 50
13.4, 6.593, 45
22.3, 3.988, 30
28.4, 3.138, 16
28.1, 3.175, 15
25.3, 3.521, 12
29.4, 3.041, 11
24.7, 3.602, 10

Cell and atoms:
Lattice parameters (Å, degrees): 8.1806 8.2697 8.4221 107.77 108.31 106.58
Space group P-1 (No. 2)
Unique sites:
Li 0.1451 0.2726 0.0733
V 0.0000 0.5000 0.5000
V 0.5000 0.0000 0.0000
S 0.0906 0.9461 0.7332
S 0.2208 0.5950 0.9377
S 0.4575 0.7418 0.6006
O 0.0072 0.2703 0.3630
O 0.0335 0.9894 0.2009
O 0.1046 0.6782 0.9969
O 0.1220 0.4847 0.7246
O 0.1668 0.0206 0.6271
O 0.2376 0.6203 0.5112
O 0.2556 0.9870 0.9183
O 0.2688 0.4705 0.0123
O 0.4081 0.7480 0.9775
O 0.4409 0.3477 0.3103
O 0.4769 0.9174 0.7555
O 0.4980 0.7884 0.4637

Record 2
This entry pairs a crystal structure of LiV2S3O12 with its simulated PXRD pattern. Radiation: a wavelength of 1.5418 Å. Structure: a structure optimized by DFT (GGA+U).
No peak broadening, texture or thermal motion is included.

The 10 most intense peaks (2θ from 5° to 70°), most intense first:
two_theta, d/Å, I (rel.)
23.9, 3.729, 100
20.2, 4.393, 28
35.6, 2.519, 25
32.2, 2.776, 24
28.9, 3.094, 21
14.3, 6.188, 16
55.8, 1.648, 15
31.6, 2.829, 14
46.3, 1.961, 12
20.4, 4.358, 11

Cell and atoms:
Lattice parameters (Å, degrees): 8.7170 8.7170 21.6036 90.00 90.00 120.00
Space group R-3c (No. 167, hexagonal axes)
Unique sites:
Li 0.0000 0.0000 0.0000
V 0.0000 0.0000 0.1428
S 0.0000 0.2940 0.2500
O 0.0014 0.2017 0.3067
O 0.0201 0.1923 0.9205

Record 3
This entry pairs a crystal structure of Li4V3Sn3Sb2O16 with its simulated PXRD pattern. Radiation: a wavelength of 1.5418 Å. Structure: a structure optimized by DFT (GGA+U).
No peak broadening, texture or thermal motion is included.

The 10 most intense peaks (2θ from 5° to 70°), most intense first:
two_theta, d/Å, I (rel.)
18.6, 4.776, 100
33.7, 2.660, 46
34.4, 2.608, 46
17.3, 5.133, 41
59.0, 1.565, 25
56.4, 1.630, 24
33.4, 2.682, 24
23.9, 3.722, 23
31.0, 2.884, 21
42.6, 2.121, 21

Cell and atoms:
Lattice parameters (Å, degrees): 6.2591 10.2674 10.7867 89.75 89.46 89.54
Space group P1 (No. 1)
Unique sites:
Li 0.0000 0.0000 0.0000
Li 0.0017 0.4973 0.6717
Li 0.4873 0.5981 0.8314
Li 0.4907 0.1033 0.8331
Li 0.4937 0.0032 0.5025
Li 0.5091 0.4954 0.1698
Li 0.9872 0.5957 0.3316
Li 0.9934 0.1020 0.3330
V 0.0005 0.3169 0.1669
V 0.2448 0.8211 0.7511
V 0.2493 0.3229 0.9211
V 0.4973 0.3213 0.6659
V 0.7424 0.3169 0.4205
V 0.7458 0.8207 0.2505
Sn 0.0003 0.8192 0.5031
Sn 0.2462 0.3209 0.4211
Sn 0.2521 0.8200 0.2510
Sn 0.4985 0.8201 0.0041
Sn 0.7507 0.8196 0.7526
Sn 0.7558 0.3190 0.9168
Sb 0.0041 0.5968 0.0035
Sb 0.5024 0.5953 0.5036
Sb 0.5067 0.1048 0.1710
Sb 0.9940 0.1010 0.6671
O 0.9996 0.9218 0.3355
O 0.0000 0.9293 0.8213
O 0.0122 0.2124 0.9921
O 0.0139 0.4338 0.8495
O 0.2280 0.9306 0.5930
O 0.2289 0.2081 0.2572
O 0.2296 0.6995 0.4114
O 0.2405 0.4233 0.0669
O 0.2674 0.9387 0.0918
O 0.2688 0.7106 0.9092
O 0.2747 0.4350 0.5848
O 0.2853 0.2270 0.7635
O 0.4863 0.2127 0.5112
O 0.4961 0.7124 0.6830
O 0.4967 0.2088 0.9861
O 0.4966 0.7074 0.1681
O 0.4988 0.9228 0.8360
O 0.5021 0.4199 0.8343
O 0.5030 0.9319 0.3219
O 0.5051 0.4344 0.3539
O 0.7131 0.4234 0.5889
O 0.7216 0.2055 0.7520
O 0.7293 0.6993 0.9130
O 0.7313 0.9295 0.0933
O 0.7677 0.7108 0.4109
O 0.7744 0.2141 0.2604
O 0.7745 0.9478 0.5941
O 0.7819 0.4326 0.0795
O 0.9860 0.2051 0.4905
O 0.9941 0.7083 0.6673
O 0.9957 0.7091 0.1828
O 0.9972 0.4176 0.3371

Record 4
This entry pairs a crystal structure of Li4V3Sn3Sb2O16 with its simulated PXRD pattern. Radiation: a wavelength of 1.5418 Å. Structure: a structure optimized by DFT (GGA+U).
No peak broadening, texture or thermal motion is included.

The 10 most intense peaks (2θ from 5° to 70°), most intense first:
two_theta, d/Å, I (rel.)
18.7, 4.739, 100
34.7, 2.586, 68
17.3, 5.140, 61
34.0, 2.635, 52
18.5, 4.786, 48
30.9, 2.890, 39
56.3, 1.633, 38
59.2, 1.561, 37
33.4, 2.680, 35
33.7, 2.657, 34

Cell and atoms:
Lattice parameters (Å, degrees): 10.8813 6.1341 10.2802 90.00 90.64 90.00
Space group Cm (No. 8)
Unique sites:
Li 0.0000 0.0000 0.0000
Li 0.0033 0.0000 0.4914
Li 0.1595 0.5000 0.8988
Li 0.3220 0.0000 0.3919
V 0.0788 0.2625 0.2149
V 0.1634 0.0000 0.7175
Sn 0.3283 0.5000 0.2148
Sn 0.4091 0.2489 0.7153
Sb 0.1564 0.5000 0.4904
Sb 0.3249 0.0000 0.9997
O 0.0063 0.5000 0.3217
O 0.0723 0.2263 0.6075
O 0.1369 0.0000 0.1225
O 0.1636 0.5000 0.1050
O 0.2284 0.2708 0.3287
O 0.2465 0.2283 0.8229
O 0.3254 0.0000 0.6047
O 0.3404 0.5000 0.5931
O 0.4214 0.2594 0.1011
O 0.4758 0.0000 0.8424
O 0.4946 0.5000 0.3122
O 0.4963 0.5000 0.8186

Record 5
This entry pairs a crystal structure of Li4V3Sn3Sb2O16 with its simulated PXRD pattern. Radiation: a wavelength of 1.5418 Å. Structure: a structure optimized by DFT (GGA+U).
No peak broadening, texture or thermal motion is included.

The 10 most intense peaks (2θ from 5° to 70°), most intense first:
two_theta, d/Å, I (rel.)
18.6, 4.783, 100
17.3, 5.124, 49
33.8, 2.656, 43
23.9, 3.718, 37
34.3, 2.613, 28
42.6, 2.121, 26
18.7, 4.750, 24
56.2, 1.636, 23
30.9, 2.892, 23
33.3, 2.688, 23

Cell and atoms:
Lattice parameters (Å, degrees): 6.2074 6.2547 10.2487 89.42 89.85 60.54
Space group P1 (No. 1)
Unique sites:
Li 0.0000 0.0000 0.0000
Li 0.0042 0.9945 0.4942
Li 0.3303 0.3499 0.3931
Li 0.6669 0.6742 0.8997
V 0.1669 0.6724 0.7182
V 0.3335 0.8424 0.2171
V 0.8280 0.8386 0.2163
Sn 0.1639 0.1796 0.7165
Sn 0.6616 0.1800 0.7169
Sn 0.8275 0.3451 0.2164
Sb 0.3300 0.3413 0.9987
Sb 0.6624 0.6842 0.4917
O 0.0254 0.4981 0.8278
O 0.1276 0.7219 0.1198
O 0.1593 0.1545 0.1041
O 0.3023 0.8559 0.6080
O 0.3339 0.3392 0.6058
O 0.4787 0.0455 0.8440
O 0.4813 0.5004 0.8266
O 0.5044 0.5353 0.3305
O 0.5299 0.9777 0.3214
O 0.6760 0.6757 0.1091
O 0.6894 0.1544 0.1024
O 0.8459 0.3152 0.5964
O 0.8476 0.8541 0.6096
O 0.9658 0.5350 0.3310
O 0.9880 0.0113 0.3157
O 0.9970 0.0097 0.8200

- Which formula does entry 5 have?
  Li4V3Sn3Sb2O16

- What is the formula in the third record?
  Li4V3Sn3Sb2O16

Copy entry 4 word for word.
This entry pairs a crystal structure of Li4V3Sn3Sb2O16 with its simulated PXRD pattern. Radiation: a wavelength of 1.5418 Å. Structure: a structure optimized by DFT (GGA+U).
No peak broadening, texture or thermal motion is included.

The 10 most intense peaks (2θ from 5° to 70°), most intense first:
two_theta, d/Å, I (rel.)
18.7, 4.739, 100
34.7, 2.586, 68
17.3, 5.140, 61
34.0, 2.635, 52
18.5, 4.786, 48
30.9, 2.890, 39
56.3, 1.633, 38
59.2, 1.561, 37
33.4, 2.680, 35
33.7, 2.657, 34

Cell and atoms:
Lattice parameters (Å, degrees): 10.8813 6.1341 10.2802 90.00 90.64 90.00
Space group Cm (No. 8)
Unique sites:
Li 0.0000 0.0000 0.0000
Li 0.0033 0.0000 0.4914
Li 0.1595 0.5000 0.8988
Li 0.3220 0.0000 0.3919
V 0.0788 0.2625 0.2149
V 0.1634 0.0000 0.7175
Sn 0.3283 0.5000 0.2148
Sn 0.4091 0.2489 0.7153
Sb 0.1564 0.5000 0.4904
Sb 0.3249 0.0000 0.9997
O 0.0063 0.5000 0.3217
O 0.0723 0.2263 0.6075
O 0.1369 0.0000 0.1225
O 0.1636 0.5000 0.1050
O 0.2284 0.2708 0.3287
O 0.2465 0.2283 0.8229
O 0.3254 0.0000 0.6047
O 0.3404 0.5000 0.5931
O 0.4214 0.2594 0.1011
O 0.4758 0.0000 0.8424
O 0.4946 0.5000 0.3122
O 0.4963 0.5000 0.8186